1.
This entry pairs a crystal structure of Li3MnV3O8 with its simulated PXRD pattern. Radiation: Cu Kα X-rays. Structure: a DFT-relaxed cell (GGA+U, the Materials Project).

Cell and atoms:
Lattice parameters (Å, degrees): 5.965 5.973 10.302 89.97 73.28 60.12
Space group P-1 (No. 2)
One atom of each set of equivalent atoms:
Li  0.001  0.252  0.252 [2 per cell]
Li  0.003  0.752  0.248 [2 per cell]
Li  0.498  0.750  0.752 [2 per cell]
Mn  0.497  0.246  0.751 [2 per cell]
V  0.000  0.000  0.500 [1 per cell]
V  0.000  0.500  0.000 [1 per cell]
V  0.500  0.000  0.000 [1 per cell]
V  0.500  0.000  0.500 [1 per cell]
V  0.500  0.500  0.000 [1 per cell]
V  0.500  0.500  0.500 [1 per cell]
O  0.254  0.867  0.614 [2 per cell]
O  0.256  0.376  0.115 [2 per cell]
O  0.265  0.140  0.873 [2 per cell]
O  0.272  0.091  0.372 [2 per cell]
O  0.272  0.645  0.371 [2 per cell]
O  0.276  0.585  0.871 [2 per cell]
O  0.281  0.355  0.629 [2 per cell]
O  0.283  0.864  0.129 [2 per cell]

Most intense lines, 10 to 90 degrees two-theta, by angle:
(hkl)	d (Å)	2θ/deg	Rel. int.
1 0 0	4.873	18.21	100
2 1 -1	2.547	35.24	18
1 1 -3	2.541	35.32	16
0 2 2	2.114	42.77	24
2 2 -2	2.107	42.93	48
2 4 0	1.494	62.12	13
2 0 -4	1.492	62.24	13
2 2 6	1.489	62.38	13



2.
This entry pairs a crystal structure of BaDyFe4O7 with its simulated PXRD pattern. Radiation: Cu Kα X-rays. Structure: a DFT-relaxed cell (GGA+U, the Materials Project).

Cell and atoms:
Lattice parameters (Å, degrees): 6.354 6.354 9.330 90.00 90.00 90.00
Space group I-4 (No. 82)
One atom of each set of equivalent atoms:
Ba  0.000  0.000  0.000 [2 per cell]
Dy  0.000  0.500  0.250 [2 per cell]
Fe  0.029  0.741  0.630 [8 per cell]
O  0.000  0.000  0.500 [2 per cell]
O  0.000  0.500  0.005 [4 per cell]
O  0.199  0.798  0.226 [8 per cell]

Most intense lines, 10 to 90 degrees two-theta, by angle:
(hkl)	d (Å)	2θ/deg	Rel. int.
1 1 2	3.236	27.56	62
2 0 0	3.177	28.09	31
1 0 3	2.793	32.04	51
1 2 1	2.718	32.95	100
2 0 2	2.626	34.14	27
1 3 2	1.845	49.38	28
2 3 1	1.732	52.87	25
2 2 4	1.618	56.91	35



3.
This entry pairs a crystal structure of SrCa7TiMn7O21 with its simulated PXRD pattern. Radiation: Cu Kα X-rays. Structure: a DFT-relaxed cell (GGA+U, the Materials Project).

Cell and atoms:
Lattice parameters (Å, degrees): 7.780 7.783 7.797 90.51 90.17 90.26
Space group P1 (No. 1)
One atom of each set of equivalent atoms:
Sr  0.000  0.000  0.000 [1 per cell]
Ca  0.011  0.529  0.047 [1 per cell]
Ca  0.501  0.556  0.519 [1 per cell]
Ca  0.503  0.544  0.047 [1 per cell]
Ca  0.516  0.006  0.482 [1 per cell]
Ca  0.520  0.022  0.995 [1 per cell]
Ca  0.981  0.517  0.506 [1 per cell]
Ca  0.995  0.967  0.512 [1 per cell]
Ti  0.258  0.278  0.766 [1 per cell]
Mn  0.253  0.741  0.758 [1 per cell]
Mn  0.254  0.273  0.257 [1 per cell]
Mn  0.255  0.779  0.268 [1 per cell]
Mn  0.749  0.747  0.263 [1 per cell]
Mn  0.750  0.238  0.744 [1 per cell]
Mn  0.750  0.270  0.261 [1 per cell]
Mn  0.751  0.745  0.763 [1 per cell]
O  0.003  0.323  0.264 [1 per cell]
O  0.004  0.753  0.727 [1 per cell]
O  0.064  0.157  0.725 [1 per cell]
O  0.195  0.030  0.270 [1 per cell]
O  0.222  0.755  0.010 [1 per cell]
O  0.241  0.484  0.662 [1 per cell]
O  0.263  0.313  0.995 [1 per cell]
O  0.292  0.809  0.518 [1 per cell]
O  0.303  0.523  0.282 [1 per cell]
O  0.463  0.177  0.719 [1 per cell]
O  0.500  0.727  0.800 [1 per cell]
O  0.504  0.209  0.259 [1 per cell]
O  0.521  0.824  0.220 [1 per cell]
O  0.697  0.511  0.292 [1 per cell]
O  0.721  0.789  0.507 [1 per cell]
O  0.747  0.990  0.801 [1 per cell]
O  0.751  0.259  0.009 [1 per cell]
O  0.754  0.486  0.707 [1 per cell]
O  0.772  0.182  0.489 [1 per cell]
O  0.786  0.721  0.017 [1 per cell]
O  0.992  0.734  0.295 [1 per cell]

Most intense lines, 10 to 90 degrees two-theta, by angle:
(hkl)	d (Å)	2θ/deg	Rel. int.
0 2 -2	2.767	32.36	38
2 -2 0	2.755	32.50	100
2 2 0	2.743	32.64	70
0 0 4	1.948	46.63	44
4 0 0	1.945	46.70	28
2 2 -4	1.595	57.79	22
4 -2 2	1.591	57.96	27
4 2 2	1.582	58.32	17



4.
This entry pairs a crystal structure of Li2MnP4O12 with its simulated PXRD pattern. Radiation: Cu Kα X-rays. Structure: a DFT-relaxed cell (GGA+U, the Materials Project).

Cell and atoms:
Lattice parameters (Å, degrees): 7.613 9.542 8.751 90.00 123.39 90.00
Space group P2_1/c (No. 14)
One atom of each set of equivalent atoms:
Li  0.218  0.153  0.335 [4 per cell]
Mn  0.000  0.000  0.500 [2 per cell]
P  0.214  0.712  0.383 [4 per cell]
P  0.454  0.602  0.771 [4 per cell]
O  0.071  0.600  0.251 [4 per cell]
O  0.103  0.675  0.916 [4 per cell]
O  0.311  0.116  0.600 [4 per cell]
O  0.347  0.031  0.264 [4 per cell]
O  0.355  0.736  0.811 [4 per cell]
O  0.400  0.641  0.570 [4 per cell]

Most intense lines, 10 to 90 degrees two-theta, by angle:
(hkl)	d (Å)	2θ/deg	Rel. int.
0 1 1	5.801	15.27	57
1 1 0	5.290	16.76	100
1 2 -1	3.962	22.44	95
1 1 1	3.577	24.89	25
2 1 -1	3.507	25.40	49
0 1 2	3.412	26.12	37
1 2 -2	3.224	27.67	47
1 1 -3	2.740	32.68	26



5.
This entry pairs a crystal structure of Ba2CaWO6 with its simulated PXRD pattern. Radiation: Cu Kα X-rays. Structure: a DFT-relaxed cell (GGA+U, the Materials Project).

Cell and atoms:
Lattice parameters (Å, degrees): 6.024 6.024 8.537 90.00 90.00 90.00
Space group I4/m (No. 87)
One atom of each set of equivalent atoms:
Ba  0.000  0.500  0.250 [4 per cell]
Ca  0.000  0.000  0.000 [2 per cell]
W  0.000  0.000  0.500 [2 per cell]
O  0.000  0.000  0.270 [4 per cell]
O  0.221  0.239  0.500 [8 per cell]

Most intense lines, 10 to 90 degrees two-theta, by angle:
(hkl)	d (Å)	2θ/deg	Rel. int.
1 0 1	4.922	18.02	24
2 0 0	3.014	29.64	100
1 2 1	2.570	34.91	11
0 0 4	2.131	42.41	30
1 3 2	1.740	52.59	40
4 0 0	1.507	61.53	19
4 2 0	1.347	69.82	12
1 3 6	1.140	85.14	15



6.
This entry pairs a crystal structure of Ba2Fe4Bi2O11 with its simulated PXRD pattern. Radiation: Cu Kα X-rays. Structure: a DFT-relaxed cell (GGA+U, the Materials Project).

Cell and atoms:
Lattice parameters (Å, degrees): 3.988 3.988 16.604 90.00 90.00 90.00
Space group P4mm (No. 99)
One atom of each set of equivalent atoms:
Ba  0.000  0.000  0.000 [1 per cell]
Ba  0.000  0.000  0.248 [1 per cell]
Fe  0.500  0.500  0.145 [1 per cell]
Fe  0.500  0.500  0.386 [1 per cell]
Fe  0.500  0.500  0.633 [1 per cell]
Fe  0.500  0.500  0.871 [1 per cell]
Bi  0.000  0.000  0.488 [1 per cell]
Bi  0.000  0.000  0.735 [1 per cell]
O  0.000  0.500  0.128 [2 per cell]
O  0.000  0.500  0.403 [2 per cell]
O  0.000  0.500  0.649 [2 per cell]
O  0.000  0.500  0.897 [2 per cell]
O  0.500  0.500  0.266 [1 per cell]
O  0.500  0.500  0.515 [1 per cell]
O  0.500  0.500  0.758 [1 per cell]

Most intense lines, 10 to 90 degrees two-theta, by angle:
(hkl)	d (Å)	2θ/deg	Rel. int.
0 0 4	4.151	21.41	16
1 0 0	3.988	22.29	23
1 0 4	2.876	31.10	100
1 1 0	2.820	31.73	46
1 1 4	2.333	38.60	29
2 0 0	1.994	45.49	29
1 1 8	1.672	54.93	18
2 1 4	1.639	56.13	38



7.
This entry pairs a crystal structure of Cr2P3O12 with its simulated PXRD pattern. Radiation: Cu Kα X-rays. Structure: a DFT-relaxed cell (GGA+U, the Materials Project).

Cell and atoms:
Lattice parameters (Å, degrees): 8.359 8.363 8.685 118.05 90.04 119.84
Space group P-1 (No. 2)
One atom of each set of equivalent atoms:
Cr  0.147  0.287  0.435 [2 per cell]
Cr  0.352  0.718  0.079 [2 per cell]
P  0.030  0.495  0.247 [2 per cell]
P  0.253  0.220  0.749 [2 per cell]
P  0.469  0.217  0.257 [2 per cell]
O  0.010  0.334  0.298 [2 per cell]
O  0.011  0.342  0.614 [2 per cell]
O  0.046  0.023  0.695 [2 per cell]
O  0.114  0.642  0.946 [2 per cell]
O  0.237  0.630  0.241 [2 per cell]
O  0.287  0.269  0.596 [2 per cell]
O  0.288  0.422  0.926 [2 per cell]
O  0.299  0.246  0.271 [2 per cell]
O  0.355  0.601  0.570 [2 per cell]
O  0.399  0.170  0.779 [2 per cell]
O  0.400  0.000  0.242 [2 per cell]
O  0.481  0.795  0.916 [2 per cell]

Most intense lines, 10 to 90 degrees two-theta, by angle:
(hkl)	d (Å)	2θ/deg	Rel. int.
1 -1 1	6.016	14.73	89
-1 1 1	4.384	20.26	100
0 1 -2	4.333	20.50	52
1 1 -1	4.184	21.24	61
1 1 0	3.653	24.36	98
-2 1 1	3.627	24.55	82
1 1 -2	3.608	24.68	78
2 -2 2	3.008	29.70	74



8.
This entry pairs a crystal structure of Nb2Zn2WO8 with its simulated PXRD pattern. Radiation: Cu Kα X-rays. Structure: a DFT-relaxed cell (GGA+U, the Materials Project).

Cell and atoms:
Lattice parameters (Å, degrees): 5.390 5.914 10.203 104.09 90.72 91.72
Space group P-1 (No. 2)
One atom of each set of equivalent atoms:
Nb  0.208  0.241  0.243 [2 per cell]
Nb  0.229  0.018  0.768 [2 per cell]
Zn  0.226  0.857  0.441 [2 per cell]
Zn  0.282  0.434  0.565 [2 per cell]
W  0.255  0.639  0.994 [2 per cell]
O  0.084  0.709  0.631 [2 per cell]
O  0.093  0.910  0.123 [2 per cell]
O  0.094  0.430  0.115 [2 per cell]
O  0.142  0.153  0.612 [2 per cell]
O  0.360  0.541  0.388 [2 per cell]
O  0.398  0.327  0.895 [2 per cell]
O  0.413  0.809  0.863 [2 per cell]
O  0.421  0.062  0.347 [2 per cell]

Most intense lines, 10 to 90 degrees two-theta, by angle:
(hkl)	d (Å)	2θ/deg	Rel. int.
0 1 2	3.364	26.49	100
0 1 -3	3.218	27.72	65
1 1 2	2.809	31.86	62
1 -1 3	2.762	32.41	97
2 0 0	2.693	33.27	93
1 -2 1	2.621	34.21	74
1 2 -1	2.558	35.08	70
2 1 2	2.066	43.81	64